The following is a calculated X-ray powder pattern of Na7Fe3O8. It was derived from the PBE+U geometry in Alexandria, using Cu Kα.
Neutral-atom scattering factors, no anomalous dispersion.

Structural model:
```
data_Na7Fe3O8
_symmetry_space_group_name_H-M 'P -1'
_symmetry_Int_Tables_number 2
_symmetry_space_group_name_Hall '-P 1'
_cell_length_a 6.007
_cell_length_b 8.437
_cell_length_c 11.520
_cell_angle_alpha 68.61
_cell_angle_beta 87.43
_cell_angle_gamma 70.48
loop_
_atom_site_label
_atom_site_type_symbol
_atom_site_fract_x
_atom_site_fract_y
_atom_site_fract_z
Na1 Na 0.000 0.218 0.220
Na2 Na 0.043 0.217 0.720
Na3 Na 0.124 0.574 0.065
Na4 Na 0.192 0.588 0.548
Na5 Na 0.220 0.039 0.030
Na6 Na 0.229 0.999 0.549
Na7 Na 0.370 0.380 0.836
Fe1 Fe 0.317 0.388 0.351
Fe2 Fe 0.442 0.807 0.348
Fe3 Fe 0.457 0.828 0.862
O1 O 0.013 0.477 0.272
O2 O 0.145 0.926 0.385
O3 O 0.180 0.838 0.943
O4 O 0.260 0.307 0.037
O5 O 0.294 0.266 0.529
O6 O 0.408 0.590 0.341
O7 O 0.438 0.750 0.723
O8 O 0.449 0.083 0.810
```

Top 6 peaks for 15° ≤ 2θ ≤ 90°, low angle first:
d_spacing	intensity	h k l
3.723	100.0	1 2 0
2.617	59.9	0 2 -2
2.595	51.1	1 2 4
2.501	70.4	1 0 -4
2.408	75.3	2 0 2
2.109	51.9	1 4 2



The following is a calculated X-ray powder pattern of Na3FeO4. It was derived from the PBE+U geometry in Alexandria, using Cu Kα.
Neutral-atom scattering factors, no anomalous dispersion.

Structural model:
```
data_Na3FeO4
_symmetry_space_group_name_H-M 'P m n 21'
_symmetry_Int_Tables_number 31
_symmetry_space_group_name_Hall 'P 2ac -2'
_cell_length_a 7.491
_cell_length_b 5.988
_cell_length_c 5.433
_cell_angle_alpha 90.00
_cell_angle_beta 90.00
_cell_angle_gamma 90.00
loop_
_atom_site_label
_atom_site_type_symbol
_atom_site_fract_x
_atom_site_fract_y
_atom_site_fract_z
Na1 Na 0.000 0.157 0.000
Na2 Na 0.243 0.318 0.506
Fe1 Fe 0.000 0.814 0.520
O1 O 0.000 0.092 0.430
O2 O 0.000 0.803 0.837
O3 O 0.208 0.698 0.433
```

Top 6 peaks for 15° ≤ 2θ ≤ 90°, low angle first:
d_spacing	intensity	h k l
4.678	64.1	1 1 0
4.398	66.6	1 0 1
3.176	77.0	2 1 0
2.994	59.7	0 2 0
2.742	100.0	2 1 1
2.717	85.1	0 0 2



The following is a calculated X-ray powder pattern of Na5Fe11O16. It was derived from the PBE+U geometry in Alexandria, using Cu Kα.
Neutral-atom scattering factors, no anomalous dispersion.

Structural model:
```
data_Na5Fe11O16
_symmetry_space_group_name_H-M 'C 1 m 1'
_symmetry_Int_Tables_number 8
_symmetry_space_group_name_Hall 'C -2y'
_cell_length_a 10.734
_cell_length_b 6.187
_cell_length_c 10.989
_cell_angle_alpha 90.00
_cell_angle_beta 108.74
_cell_angle_gamma 90.00
loop_
_atom_site_label
_atom_site_type_symbol
_atom_site_fract_x
_atom_site_fract_y
_atom_site_fract_z
Na1 Na 0.000 0.000 0.000
Na2 Na 0.244 0.250 0.502
Na3 Na 0.246 0.249 0.995
Fe1 Fe 0.243 0.500 0.249
Fe2 Fe 0.244 0.000 0.249
Fe3 Fe 0.247 0.000 0.746
Fe4 Fe 0.248 0.500 0.751
Fe5 Fe 0.492 0.000 0.501
Fe6 Fe 0.493 0.000 0.993
Fe7 Fe 0.495 0.250 0.250
Fe8 Fe 0.495 0.251 0.749
Fe9 Fe 0.497 0.500 0.503
O1 O 0.104 0.254 0.623
O2 O 0.108 0.000 0.353
O3 O 0.111 0.500 0.357
O4 O 0.111 0.500 0.853
O5 O 0.113 0.000 0.847
O6 O 0.120 0.270 0.142
O7 O 0.376 0.258 0.366
O8 O 0.376 0.500 0.150
O9 O 0.381 0.000 0.638
O10 O 0.381 0.500 0.642
O11 O 0.382 0.000 0.145
O12 O 0.382 0.240 0.864
```

Top 6 peaks for 15° ≤ 2θ ≤ 90°, low angle first:
d_spacing	intensity	h k l
5.203	24.7	0 0 2
2.533	38.4	2 2 -2
2.212	100.0	2 2 2
2.206	48.9	4 0 -4
1.576	27.9	2 2 -6
1.548	41.5	0 4 0



The following is a calculated X-ray powder pattern of Na3FeO3. It was derived from the PBE+U geometry in Alexandria, using Cu Kα.
Neutral-atom scattering factors, no anomalous dispersion.

Structural model:
```
data_Na3FeO3
_symmetry_space_group_name_H-M 'P 1 21/c 1'
_symmetry_Int_Tables_number 14
_symmetry_space_group_name_Hall '-P 2ybc'
_cell_length_a 5.857
_cell_length_b 12.762
_cell_length_c 6.263
_cell_angle_alpha 90.00
_cell_angle_beta 121.92
_cell_angle_gamma 90.00
loop_
_atom_site_label
_atom_site_type_symbol
_atom_site_fract_x
_atom_site_fract_y
_atom_site_fract_z
Na1 Na 0.036 0.016 0.281
Na2 Na 0.054 0.222 0.695
Na3 Na 0.427 0.094 0.141
Fe1 Fe 0.420 0.665 0.745
O1 O 0.055 0.627 0.550
O2 O 0.321 0.063 0.698
O3 O 0.473 0.727 0.052
```

Top 6 peaks for 15° ≤ 2θ ≤ 90°, low angle first:
d_spacing	intensity	h k l
4.081	100.0	0 2 1
3.314	29.0	1 3 -1
2.735	48.1	0 4 1
2.658	36.3	0 0 2
2.486	38.9	2 0 0
2.235	46.8	1 4 -2



The following is a calculated X-ray powder pattern of Na14Fe2O9. It was derived from the PBE+U geometry in Alexandria, using Cu Kα.
Neutral-atom scattering factors, no anomalous dispersion.

Structural model:
```
data_Na14Fe2O9
_symmetry_space_group_name_H-M 'P 1'
_symmetry_Int_Tables_number 1
_symmetry_space_group_name_Hall 'P 1'
_cell_length_a 6.681
_cell_length_b 6.702
_cell_length_c 9.414
_cell_angle_alpha 89.75
_cell_angle_beta 89.57
_cell_angle_gamma 60.19
loop_
_atom_site_label
_atom_site_type_symbol
_atom_site_fract_x
_atom_site_fract_y
_atom_site_fract_z
Na1 Na 0.000 0.000 0.000
Na2 Na 0.001 0.000 0.503
Na3 Na 0.034 0.645 0.343
Na4 Na 0.071 0.308 0.660
Na5 Na 0.314 0.623 0.659
Na6 Na 0.318 0.048 0.343
Na7 Na 0.359 0.685 0.161
Na8 Na 0.379 0.930 0.842
Na9 Na 0.627 0.062 0.659
Na10 Na 0.638 0.327 0.345
Na11 Na 0.675 0.969 0.160
Na12 Na 0.689 0.374 0.845
Na13 Na 0.936 0.687 0.845
Na14 Na 0.958 0.366 0.159
Fe1 Fe 0.332 0.333 0.991
Fe2 Fe 0.668 0.666 0.513
O1 O 0.059 0.300 0.914
O2 O 0.306 0.641 0.917
O3 O 0.331 0.343 0.211
O4 O 0.360 0.947 0.586
O5 O 0.638 0.053 0.914
O6 O 0.661 0.676 0.293
O7 O 0.700 0.359 0.590
O8 O 0.949 0.691 0.590
O9 O 0.996 0.007 0.252
```

Top 6 peaks for 15° ≤ 2θ ≤ 90°, low angle first:
d_spacing	intensity	h k l
4.943	80.4	1 0 1
2.764	36.7	2 0 -1
2.736	62.8	1 2 2
2.134	38.9	3 2 1
1.931	100.0	2 1 4
1.923	70.8	1 2 -4